For Pm7Hg3C2, a crystal structure in Alexandria, relaxed with GGA-PBE gives the computed powder X-ray diffraction pattern in this record (Cu Ka).

Most intense lines, 2θ from 10° to 90°, in order of rising 2θ:
- hkl 1 5 1, 31.00 deg, intensity 100
- hkl 2 0 0, 35.44 deg, intensity 19
- hkl 0 0 2, 35.69 deg, intensity 18
- hkl 0 10 0, 36.70 deg, intensity 17
- hkl 2 0 2, 51.18 deg, intensity 13
- hkl 2 10 0, 51.94 deg, intensity 12
- hkl 0 10 2, 52.13 deg, intensity 12
- hkl 3 5 1, 60.88 deg, intensity 15
- hkl 1 5 3, 61.22 deg, intensity 15
- hkl 1 15 1, 62.57 deg, intensity 13
- hkl 2 10 2, 64.62 deg, intensity 13
- hkl 3 5 3, 83.63 deg, intensity 6

Structural model:
```
data_Pm7Hg3C2
_symmetry_space_group_name_H-M 'C m m m'
_symmetry_Int_Tables_number 65
_symmetry_space_group_name_Hall '-C 2 2'
_cell_length_a 5.066
_cell_length_b 24.484
_cell_length_c 5.031
_cell_angle_alpha 90.00
_cell_angle_beta 90.00
_cell_angle_gamma 90.00
loop_
_atom_site_label
_atom_site_type_symbol
_atom_site_fract_x
_atom_site_fract_y
_atom_site_fract_z
Pm1 Pm 0.000 0.000 0.000
Pm2 Pm 0.000 0.103 0.500
Pm3 Pm 0.000 0.204 0.000
Pm4 Pm 0.000 0.400 0.000
Hg1 Hg 0.000 0.300 0.500
Hg2 Hg 0.000 0.500 0.500
C1 C 0.000 0.107 0.000
```